Record 1
Diffraction record for Al4NiIrRh2. The powder diffractogram is theoretical, not measured: it uses a DFT-relaxed cell (GGA-PBE, Alexandria) and Cu Kα (λ = 1.5418 Å).
Peak positions follow from Bragg's law for the DFT cell and can differ from measured ones.

Main lines, by angle (2θ = 10–90°):
| index | d [Å] | 2theta | I_rel |
| --- | --- | --- | --- |
| 0 0 3 | 6.899 | 12.83 | 13 |
| 1 0 1 | 3.607 | 24.68 | 10 |
| 1 0 4 | 2.990 | 29.89 | 52 |
| 0 1 5 | 2.743 | 32.64 | 6 |
| 0 0 9 | 2.301 | 39.16 | 4 |
| 1 1 0 | 2.114 | 42.77 | 100 |
| 0 2 4 | 1.726 | 53.05 | 14 |
| 2 0 8 | 1.495 | 62.09 | 16 |
| 2 1 4 | 1.337 | 70.42 | 17 |
| 3 0 0 | 1.221 | 78.34 | 33 |

Structural model:
a = 4.2297 Å, b = 4.2297 Å, c = 20.6979 Å
α = 90.00°, β = 90.00°, γ = 120.00°
Space group R-3m (No. 166, hexagonal axes)
Symmetry-distinct sites (fractional):
Al  0.0000  0.0000  0.1234
Al  0.0000  0.0000  0.3738
Ni  0.0000  0.0000  0.0000
Ir  0.0000  0.0000  0.5000
Rh  0.0000  0.0000  0.2509



Record 2
Diffraction record for Ti2Al2Ni7Ir. The powder diffractogram is theoretical, not measured: it uses a DFT-relaxed cell (GGA-PBE, Alexandria) and Cu Kα (λ = 1.5418 Å).
Peak positions follow from Bragg's law for the DFT cell and can differ from measured ones.

Main lines, by angle (2θ = 10–90°):
| index | d [Å] | 2theta | I_rel |
| --- | --- | --- | --- |
| 0 0 2 | 5.615 | 15.78 | 31 |
| 1 1 2 | 3.101 | 28.79 | 22 |
| 2 0 2 | 2.359 | 38.14 | 35 |
| 0 2 3 | 2.169 | 41.63 | 100 |
| 2 0 3 | 2.135 | 42.33 | 43 |
| 2 0 4 | 1.908 | 47.67 | 32 |
| 0 0 6 | 1.872 | 48.65 | 29 |
| 2 2 0 | 1.860 | 48.97 | 31 |
| 2 2 1 | 1.835 | 49.69 | 41 |
| 4 2 3 | 1.115 | 87.48 | 21 |

Structural model:
a = 5.1999 Å, b = 5.3235 Å, c = 11.2300 Å
α = 90.00°, β = 90.00°, γ = 90.00°
Space group Cmmm (No. 65)
Symmetry-distinct sites (fractional):
Ti  0.0000  0.0000  0.1672
Al  0.0000  0.5000  0.2035
Ni  0.0000  0.0000  0.5000
Ni  0.0000  0.2844  0.0000
Ni  0.2500  0.2500  0.3412
Ir  0.0000  0.5000  0.5000



Record 3
Diffraction record for AlIrO. The powder diffractogram is theoretical, not measured: it uses a DFT-relaxed cell (GGA-PBE, Alexandria) and Cu Kα (λ = 1.5418 Å).
Peak positions follow from Bragg's law for the DFT cell and can differ from measured ones.

Main lines, by angle (2θ = 10–90°):
| index | d [Å] | 2theta | I_rel |
| --- | --- | --- | --- |
| 0 0 1 | 7.027 | 12.60 | 100 |
| 0 0 2 | 3.514 | 25.35 | 36 |
| 1 0 1 | 3.128 | 28.54 | 14 |
| 1 1 0 | 2.470 | 36.38 | 32 |
| 1 1 1 | 2.330 | 38.64 | 44 |
| 1 1 2 | 2.020 | 44.86 | 21 |
| 1 0 3 | 1.945 | 46.69 | 20 |
| 2 0 0 | 1.746 | 52.39 | 15 |
| 1 1 3 | 1.700 | 53.95 | 14 |
| 2 0 2 | 1.564 | 59.07 | 13 |

Structural model:
a = 3.4926 Å, b = 3.4926 Å, c = 7.0271 Å
α = 90.00°, β = 90.00°, γ = 90.00°
Space group P4/nmm (No. 129, origin choice 2)
Symmetry-distinct sites (fractional):
Al  0.2500  0.2500  0.1120
Ir  0.2500  0.2500  0.4581
O  0.2500  0.7500  0.0000



Record 4
Diffraction record for Pm2AlIrO6. The powder diffractogram is theoretical, not measured: it uses a DFT-relaxed cell (GGA-PBE, Alexandria) and Cu Kα (λ = 1.5418 Å).
Peak positions follow from Bragg's law for the DFT cell and can differ from measured ones.

Main lines, by angle (2θ = 10–90°):
| index | d [Å] | 2theta | I_rel |
| --- | --- | --- | --- |
| 1 1 0 | 4.394 | 20.21 | 32 |
| 0 0 2 | 2.847 | 31.42 | 28 |
| 1 2 1 | 2.752 | 32.54 | 100 |
| 2 0 0 | 2.660 | 33.69 | 24 |
| 1 1 2 | 2.389 | 37.64 | 12 |
| 0 4 0 | 1.948 | 46.62 | 13 |
| 2 0 2 | 1.944 | 46.73 | 29 |
| 1 2 3 | 1.625 | 56.64 | 19 |
| 3 2 1 | 1.553 | 59.53 | 19 |
| 2 4 2 | 1.376 | 68.15 | 16 |

Structural model:
a = 5.3200 Å, b = 7.7923 Å, c = 5.6947 Å
α = 90.00°, β = 90.00°, γ = 90.00°
Space group Pmmn (No. 59, origin choice 2)
Symmetry-distinct sites (fractional):
Pm  0.2500  0.0229  0.2250
Al  0.2500  0.7500  0.7533
Ir  0.2500  0.2500  0.7382
O  0.0051  0.2500  0.0118
O  0.0104  0.2500  0.4584
O  0.2500  0.5099  0.7811



Record 5
Diffraction record for PmAlIrO6. The powder diffractogram is theoretical, not measured: it uses a DFT-relaxed cell (GGA-PBE, Alexandria) and Cu Kα (λ = 1.5418 Å).
Peak positions follow from Bragg's law for the DFT cell and can differ from measured ones.

Main lines, by angle (2θ = 10–90°):
| index | d [Å] | 2theta | I_rel |
| --- | --- | --- | --- |
| 1 0 0 | 4.411 | 20.13 | 22 |
| 1 0 1 | 3.329 | 26.78 | 100 |
| 1 1 0 | 2.547 | 35.24 | 28 |
| 2 0 1 | 2.023 | 44.81 | 24 |
| 2 -1 2 | 1.797 | 50.81 | 33 |
| 3 -1 1 | 1.584 | 58.25 | 23 |
| 1 0 3 | 1.579 | 58.46 | 11 |
| 3 0 0 | 1.470 | 63.25 | 10 |
| 2 2 0 | 1.273 | 74.58 | 10 |
| 3 1 1 | 1.189 | 80.82 | 9 |

Structural model:
a = 5.0933 Å, b = 5.0933 Å, c = 5.0726 Å
α = 90.00°, β = 90.00°, γ = 120.00°
Space group P312 (No. 149)
Symmetry-distinct sites (fractional):
Pm  0.0000  0.0000  0.0000
Al  0.3333  0.6667  0.5000
Ir  0.6667  0.3333  0.5000
O  0.0051  0.3697  0.7096



Record 6
Diffraction record for Th2AlPIr6. The powder diffractogram is theoretical, not measured: it uses a DFT-relaxed cell (GGA-PBE, Alexandria) and Cu Kα (λ = 1.5418 Å).
Peak positions follow from Bragg's law for the DFT cell and can differ from measured ones.

Main lines, by angle (2θ = 10–90°):
| index | d [Å] | 2theta | I_rel |
| --- | --- | --- | --- |
| 0 0 1 | 7.923 | 11.17 | 21 |
| 1 0 2 | 3.224 | 27.67 | 28 |
| 0 2 2 | 2.921 | 30.60 | 74 |
| 1 2 2 | 2.585 | 34.70 | 30 |
| 1 0 3 | 2.385 | 37.73 | 21 |
| 2 2 0 | 2.335 | 38.56 | 100 |
| 2 0 2 | 2.272 | 39.67 | 47 |
| 0 4 0 | 2.163 | 41.76 | 44 |
| 1 2 3 | 2.088 | 43.33 | 40 |
| 2 4 2 | 1.567 | 58.96 | 28 |

Structural model:
a = 5.5476 Å, b = 8.6513 Å, c = 7.9228 Å
α = 90.00°, β = 90.00°, γ = 90.00°
Space group Pmmn (No. 59, origin choice 2)
Symmetry-distinct sites (fractional):
Th  0.2500  0.0161  0.2214
Al  0.2500  0.7500  0.7773
P  0.2500  0.2500  0.7332
Ir  0.0041  0.7500  0.0363
Ir  0.0047  0.7500  0.5061
Ir  0.2500  0.0003  0.6039



Record 7
Diffraction record for Pa2Al12Ir7. The powder diffractogram is theoretical, not measured: it uses a DFT-relaxed cell (GGA-PBE, Alexandria) and Cu Kα (λ = 1.5418 Å).
Peak positions follow from Bragg's law for the DFT cell and can differ from measured ones.

Main lines, by angle (2θ = 10–90°):
| index | d [Å] | 2theta | I_rel |
| --- | --- | --- | --- |
| 2 1 0 | 3.247 | 27.47 | 68 |
| 1 1 1 | 3.138 | 28.45 | 31 |
| 2 0 1 | 2.947 | 30.33 | 100 |
| 1 2 1 | 2.534 | 35.43 | 83 |
| 2 2 0 | 2.480 | 36.22 | 28 |
| 2 2 1 | 2.115 | 42.75 | 38 |
| 3 1 1 | 2.054 | 44.10 | 36 |
| 0 0 2 | 2.026 | 44.74 | 32 |
| 1 4 0 | 1.875 | 48.57 | 38 |
| 1 4 2 | 1.376 | 68.16 | 32 |

Structural model:
a = 9.9191 Å, b = 9.9191 Å, c = 4.0514 Å
α = 90.00°, β = 90.00°, γ = 120.00°
Space group P-6 (No. 174)
Symmetry-distinct sites (fractional):
Pa  0.0000  0.0000  0.0000
Pa  0.3333  0.6667  0.5000
Al  0.0242  0.2953  0.5000
Al  0.1430  0.7603  0.0000
Al  0.3770  0.1929  0.0000
Al  0.5333  0.4044  0.5000
Ir  0.0382  0.4699  0.0000
Ir  0.2321  0.2182  0.5000
Ir  0.6667  0.3333  0.0000



Record 8
Diffraction record for PaAl6Ir3. The powder diffractogram is theoretical, not measured: it uses a DFT-relaxed cell (GGA-PBE, Alexandria) and Cu Kα (λ = 1.5418 Å).
Peak positions follow from Bragg's law for the DFT cell and can differ from measured ones.

Main lines, by angle (2θ = 10–90°):
| index | d [Å] | 2theta | I_rel |
| --- | --- | --- | --- |
| 1 0 0 | 7.961 | 11.11 | 49 |
| 1 1 -1 | 3.577 | 24.89 | 57 |
| 1 1 1 | 3.409 | 26.14 | 55 |
| 2 0 -2 | 3.363 | 26.50 | 100 |
| 1 1 2 | 2.877 | 31.08 | 99 |
| 1 1 3 | 2.384 | 37.74 | 52 |
| 3 1 -1 | 2.257 | 39.95 | 53 |
| 3 1 0 | 2.247 | 40.13 | 74 |
| 1 1 -4 | 2.131 | 42.42 | 90 |
| 0 2 0 | 2.112 | 42.83 | 66 |

Structural model:
a = 8.0585 Å, b = 4.2231 Å, c = 9.9919 Å
α = 90.00°, β = 98.91°, γ = 90.00°
Space group P2_1/m (No. 11)
Symmetry-distinct sites (fractional):
Pa  0.0618  0.2500  0.2737
Al  0.1349  0.2500  0.5929
Al  0.1413  0.7500  0.0268
Al  0.3209  0.7500  0.7528
Al  0.3380  0.7500  0.2686
Al  0.4266  0.2500  0.4333
Al  0.4603  0.2500  0.9166
Ir  0.1431  0.2500  0.8592
Ir  0.2415  0.7500  0.4899
Ir  0.3666  0.2500  0.1460



Record 9
Diffraction record for Pa3Al2Ir3. The powder diffractogram is theoretical, not measured: it uses a DFT-relaxed cell (GGA-PBE, Alexandria) and Cu Kα (λ = 1.5418 Å).
Peak positions follow from Bragg's law for the DFT cell and can differ from measured ones.

Main lines, by angle (2θ = 10–90°):
| index | d [Å] | 2theta | I_rel |
| --- | --- | --- | --- |
| 1 1 0 | 4.058 | 21.90 | 59 |
| 0 0 2 | 2.826 | 31.66 | 50 |
| 2 1 1 | 2.404 | 37.40 | 100 |
| 3 0 0 | 2.343 | 38.42 | 43 |
| 1 1 2 | 2.319 | 38.83 | 42 |
| 3 1 1 | 1.843 | 49.46 | 23 |
| 3 0 2 | 1.804 | 50.61 | 30 |
| 3 2 1 | 1.551 | 59.63 | 18 |
| 2 1 3 | 1.537 | 60.22 | 26 |
| 5 1 1 | 1.232 | 77.47 | 16 |

Structural model:
a = 8.1160 Å, b = 8.1160 Å, c = 5.6516 Å
α = 90.00°, β = 90.00°, γ = 120.00°
Space group P6_3/mcm (No. 193)
Symmetry-distinct sites (fractional):
Pa  0.0000  0.2691  0.2500
Al  0.3333  0.6667  0.0000
Ir  0.0000  0.3874  0.7500



Record 10
Diffraction record for PrAl2IrPd2. The powder diffractogram is theoretical, not measured: it uses a DFT-relaxed cell (GGA-PBE, Alexandria) and Cu Kα (λ = 1.5418 Å).
Peak positions follow from Bragg's law for the DFT cell and can differ from measured ones.

Main lines, by angle (2θ = 10–90°):
| index | d [Å] | 2theta | I_rel |
| --- | --- | --- | --- |
| 1 1 0 | 3.309 | 26.94 | 96 |
| 1 0 2 | 2.408 | 37.34 | 100 |
| 2 0 0 | 2.340 | 38.47 | 56 |
| 2 1 2 | 1.678 | 54.69 | 66 |
| 2 2 0 | 1.655 | 55.54 | 19 |
| 3 1 0 | 1.480 | 62.78 | 18 |
| 3 0 2 | 1.364 | 68.85 | 17 |
| 1 1 4 | 1.293 | 73.23 | 11 |
| 2 0 4 | 1.204 | 79.63 | 13 |
| 3 2 2 | 1.178 | 81.73 | 21 |

Structural model:
a = 4.6801 Å, b = 4.6801 Å, c = 5.6164 Å
α = 90.00°, β = 90.00°, γ = 90.00°
Space group P4/mmm (No. 123)
Symmetry-distinct sites (fractional):
Pr  0.0000  0.0000  0.0000
Al  0.0000  0.5000  0.5000
Ir  0.0000  0.0000  0.5000
Pd  0.5000  0.5000  0.2458



Record 11
Diffraction record for Pm4Al16Ir3. The powder diffractogram is theoretical, not measured: it uses a DFT-relaxed cell (GGA-PBE, Alexandria) and Cu Kα (λ = 1.5418 Å).
Peak positions follow from Bragg's law for the DFT cell and can differ from measured ones.

Main lines, by angle (2θ = 10–90°):
| index | d [Å] | 2theta | I_rel |
| --- | --- | --- | --- |
| 1 1 0 | 4.383 | 20.26 | 61 |
| 1 1 1 | 4.091 | 21.72 | 37 |
| 2 0 0 | 3.099 | 28.81 | 53 |
| 1 1 3 | 2.872 | 31.14 | 100 |
| 2 0 3 | 2.402 | 37.44 | 60 |
| 2 2 0 | 2.192 | 41.19 | 56 |
| 2 0 4 | 2.098 | 43.11 | 26 |
| 3 1 3 | 1.742 | 52.52 | 51 |
| 4 0 0 | 1.550 | 59.67 | 18 |
| 3 3 3 | 1.364 | 68.83 | 17 |

Structural model:
a = 6.1985 Å, b = 6.1985 Å, c = 11.4052 Å
α = 90.00°, β = 90.00°, γ = 90.00°
Space group P4/mmm (No. 123)
Symmetry-distinct sites (fractional):
Pm  0.0000  0.5000  0.1929
Al  0.0000  0.0000  0.1935
Al  0.2162  0.2162  0.0000
Al  0.2514  0.2514  0.3834
Al  0.5000  0.5000  0.2209
Ir  0.0000  0.5000  0.5000
Ir  0.5000  0.5000  0.0000



Record 12
Diffraction record for Pr3Al4Ir2. The powder diffractogram is theoretical, not measured: it uses a DFT-relaxed cell (GGA-PBE, Alexandria) and Cu Kα (λ = 1.5418 Å).
Peak positions follow from Bragg's law for the DFT cell and can differ from measured ones.

Main lines, by angle (2θ = 10–90°):
| index | d [Å] | 2theta | I_rel |
| --- | --- | --- | --- |
| 0 0 1 | 8.267 | 10.70 | 51 |
| 1 1 1 | 3.614 | 24.63 | 49 |
| 1 1 -2 | 3.070 | 29.09 | 70 |
| 3 1 0 | 2.772 | 32.29 | 100 |
| 0 0 3 | 2.756 | 32.49 | 43 |
| 3 1 1 | 2.506 | 35.84 | 49 |
| 4 0 -2 | 2.454 | 36.63 | 39 |
| 1 1 -3 | 2.394 | 37.57 | 32 |
| 0 2 0 | 2.282 | 39.50 | 48 |
| 3 1 -3 | 2.138 | 42.26 | 30 |

Structural model:
a = 10.7049 Å, b = 4.5633 Å, c = 8.4500 Å
α = 90.00°, β = 101.96°, γ = 90.00°
Space group C2/m (No. 12)
Symmetry-distinct sites (fractional):
Pr  0.0000  0.0000  0.0000
Pr  0.1105  0.5000  0.7020
Al  0.1082  0.0000  0.4144
Al  0.2179  0.5000  0.0862
Ir  0.1891  0.5000  0.3693